[1]
Theoretical X-ray powder pattern
Compound: RbBa2AsSe4
Radiation: Cu Kα X-rays
Structure: a GGA-PBE-relaxed structure
Peak positions follow from Bragg's law for the DFT cell and can differ from measured ones.

Peak list (10 most intense, 2θ from 10° to 80°, most intense first)
27.18°, rel. 100.0; 28.14°, rel. 39.1; 27.60°, rel. 38.7; 32.95°, rel. 37.9; 34.69°, rel. 35.1; 28.27°, rel. 34.4; 28.44°, rel. 33.2; 21.59°, rel. 32.7; 26.99°, rel. 30.7; 33.53°, rel. 27.9

Crystal structure
```
data_RbBa2AsSe4
_chemical_formula_sum 'Rb2 Ba4 As2 Se8'
_cell_length_a 8.5039
_cell_length_b 8.6509
_cell_length_c 8.9762
_cell_angle_alpha 71.93
_cell_angle_beta 70.56
_cell_angle_gamma 72.50
_symmetry_space_group_name_H-M 'P 1'
_symmetry_Int_Tables_number 1
loop_
_symmetry_equiv_pos_as_xyz
'x,y,z'
loop_
_atom_site_label
_atom_site_fract_x
_atom_site_fract_y
_atom_site_fract_z
_atom_site_occupancy
Rb1 0.0000 0.0000 0.0000 1
Rb2 0.4968 0.0357 0.9212 1
Ba1 0.0035 0.5636 0.4247 1
Ba2 0.2330 0.0227 0.4472 1
Ba3 0.4983 0.4899 0.5065 1
Ba4 0.9678 0.4893 0.9216 1
As1 0.4446 0.5446 0.9652 1
As2 0.7005 0.0294 0.4883 1
Se1 0.2081 0.2783 0.6690 1
Se2 0.2528 0.3547 0.1321 1
Se3 0.2658 0.7108 0.7790 1
Se4 0.3036 0.7538 0.2420 1
Se5 0.6729 0.8655 0.3242 1
Se6 0.6964 0.3762 0.7959 1
Se7 0.8713 0.2384 0.3108 1
Se8 0.8933 0.8530 0.6544 1
```


[2]
Theoretical X-ray powder pattern
Compound: Tl5SbO5
Radiation: Cu Kα X-rays
Structure: a GGA-PBE-relaxed structure
Peak positions follow from Bragg's law for the DFT cell and can differ from measured ones.

Peak list (10 most intense, 2θ from 10° to 80°, most intense first)
29.08°, rel. 100.0; 28.19°, rel. 63.1; 35.17°, rel. 39.0; 31.57°, rel. 37.0; 33.37°, rel. 33.4; 25.97°, rel. 33.2; 58.29°, rel. 30.4; 29.29°, rel. 26.1; 30.00°, rel. 24.6; 46.10°, rel. 23.9

Crystal structure
```
data_Tl5SbO5
_chemical_formula_sum 'Tl40 Sb8 O40'
_cell_length_a 11.0810
_cell_length_b 12.1951
_cell_length_c 14.2197
_cell_angle_alpha 90.00
_cell_angle_beta 90.00
_cell_angle_gamma 90.00
_symmetry_space_group_name_H-M 'C m c 21'
_symmetry_Int_Tables_number 36
loop_
_symmetry_equiv_pos_as_xyz
'x,y,z'
'-x,-y,z+1/2'
'-x,y,z'
'x,-y,z+1/2'
'x+1/2,y+1/2,z'
'-x+1/2,-y+1/2,z+1/2'
'-x+1/2,y+1/2,z'
'x+1/2,-y+1/2,z+1/2'
loop_
_atom_site_label
_atom_site_fract_x
_atom_site_fract_y
_atom_site_fract_z
_atom_site_occupancy
Tl1 0.0000 0.0315 0.0109 1
Tl2 0.0000 0.2426 0.8464 1
Tl3 0.1591 0.4573 0.0000 1
Tl4 0.1628 0.0312 0.2575 1
Tl5 0.1626 0.2657 0.6126 1
Tl6 0.1626 0.3091 0.3572 1
Sb1 0.0000 0.2586 0.1462 1
Sb2 0.0000 0.4907 0.7256 1
O1 0.0000 0.2012 0.2802 1
O2 0.0000 0.3177 0.0141 1
O3 0.0000 0.4373 0.5917 1
O4 0.0000 0.4509 0.3578 1
O5 0.1204 0.3818 0.1875 1
O6 0.1305 0.1493 0.1148 1
O7 0.1322 0.3829 0.7566 1
```


[3]
Theoretical X-ray powder pattern
Compound: Ba5TlHg
Radiation: Cu Kα X-rays
Structure: a GGA-PBE-relaxed structure
Peak positions follow from Bragg's law for the DFT cell and can differ from measured ones.

Peak list (10 most intense, 2θ from 10° to 80°, most intense first)
25.29°, rel. 100.0; 26.73°, rel. 50.6; 22.66°, rel. 38.5; 13.49°, rel. 35.5; 26.39°, rel. 35.3; 38.00°, rel. 31.2; 22.49°, rel. 30.9; 33.21°, rel. 27.0; 37.19°, rel. 25.8; 17.02°, rel. 25.3

Crystal structure
```
data_Ba5TlHg
_chemical_formula_sum 'Ba20 Tl4 Hg4'
_cell_length_a 14.2629
_cell_length_b 8.3448
_cell_length_c 13.3887
_cell_angle_alpha 90.00
_cell_angle_beta 113.02
_cell_angle_gamma 90.00
_symmetry_space_group_name_H-M 'C 1 2/c 1'
_symmetry_Int_Tables_number 15
loop_
_symmetry_equiv_pos_as_xyz
'x,y,z'
'-x,-y,-z'
'-x,y,-z+1/2'
'x,-y,z+1/2'
'x+1/2,y+1/2,z'
'-x+1/2,-y+1/2,-z'
'-x+1/2,y+1/2,-z+1/2'
'x+1/2,-y+1/2,z+1/2'
loop_
_atom_site_label
_atom_site_fract_x
_atom_site_fract_y
_atom_site_fract_z
_atom_site_occupancy
Ba1 0.0000 0.0112 0.2500 1
Ba2 0.1137 0.3537 0.0086 1
Ba3 0.2333 0.1734 0.6493 1
Tl1 0.0000 0.4547 0.2500 1
Hg1 0.0000 0.0000 0.0000 1
```


[4]
Theoretical X-ray powder pattern
Compound: In8Hg2Sb
Radiation: Cu Kα X-rays
Structure: a GGA-PBE-relaxed structure
Peak positions follow from Bragg's law for the DFT cell and can differ from measured ones.

Peak list (10 most intense, 2θ from 10° to 80°, most intense first)
33.10°, rel. 100.0; 38.15°, rel. 34.8; 65.76°, rel. 26.7; 55.64°, rel. 20.6; 38.92°, rel. 14.9; 55.06°, rel. 11.8; 69.46°, rel. 10.5; 66.81°, rel. 10.4; 18.81°, rel. 7.7; 26.99°, rel. 6.8

Crystal structure
```
data_In8Hg2Sb
_chemical_formula_sum 'In8 Hg2 Sb1'
_cell_length_a 4.7178
_cell_length_b 4.7178
_cell_length_c 13.8857
_cell_angle_alpha 90.00
_cell_angle_beta 90.00
_cell_angle_gamma 90.00
_symmetry_space_group_name_H-M 'P 4/m m m'
_symmetry_Int_Tables_number 123
_symmetry_space_group_name_Hall '-P 4 2'
loop_
_atom_site_label
_atom_site_fract_x
_atom_site_fract_y
_atom_site_fract_z
_atom_site_occupancy
In1 0.0000 0.0000 0.1780 1
In2 0.0000 0.5000 0.0000 1
In3 0.0000 0.5000 0.3455 1
Hg1 0.5000 0.5000 0.1704 1
Sb1 0.5000 0.5000 0.5000 1
```


[5]
Theoretical X-ray powder pattern
Compound: Th2As3Ir4Au
Radiation: Cu Kα X-rays
Structure: a GGA-PBE-relaxed structure
Peak positions follow from Bragg's law for the DFT cell and can differ from measured ones.

Peak list (10 most intense, 2θ from 10° to 80°, most intense first)
34.74°, rel. 100.0; 44.20°, rel. 41.3; 32.15°, rel. 23.6; 75.19°, rel. 22.6; 45.58°, rel. 22.6; 65.37°, rel. 15.6; 64.29°, rel. 13.7; 31.44°, rel. 11.2; 55.70°, rel. 10.2; 55.24°, rel. 9.4

Crystal structure
```
data_Th2As3Ir4Au
_chemical_formula_sum 'Th2 As3 Ir4 Au1'
_cell_length_a 4.0983
_cell_length_b 4.0983
_cell_length_c 11.3826
_cell_angle_alpha 90.00
_cell_angle_beta 90.00
_cell_angle_gamma 90.00
_symmetry_space_group_name_H-M 'P -4 m 2'
_symmetry_Int_Tables_number 115
loop_
_symmetry_equiv_pos_as_xyz
'x,y,z'
'y,-x,-z'
'-x,-y,z'
'-y,x,-z'
'-x,y,z'
'-y,-x,-z'
'x,-y,z'
'y,x,-z'
loop_
_atom_site_label
_atom_site_fract_x
_atom_site_fract_y
_atom_site_fract_z
_atom_site_occupancy
Th1 0.0000 0.5000 0.2488 1
As1 0.0000 0.0000 0.0000 1
As2 0.0000 0.5000 0.6253 1
Ir1 0.0000 0.0000 0.5000 1
Ir2 0.0000 0.5000 0.8331 1
Ir3 0.5000 0.5000 0.5000 1
Au1 0.5000 0.5000 0.0000 1
```


[6]
Theoretical X-ray powder pattern
Compound: Ho3InCu8
Radiation: Cu Kα X-rays
Structure: a GGA-PBE-relaxed structure
Peak positions follow from Bragg's law for the DFT cell and can differ from measured ones.

Peak list (10 most intense, 2θ from 10° to 80°, most intense first)
40.85°, rel. 100.0; 34.67°, rel. 39.4; 34.53°, rel. 38.7; 40.71°, rel. 34.7; 66.28°, rel. 30.8; 62.08°, rel. 21.4; 42.78°, rel. 18.8; 73.16°, rel. 15.3; 72.82°, rel. 14.7; 21.01°, rel. 8.8

Crystal structure
```
data_Ho3InCu8
_chemical_formula_sum 'Ho9 In3 Cu24'
_cell_length_a 5.1744
_cell_length_b 5.1744
_cell_length_c 25.5041
_cell_angle_alpha 90.00
_cell_angle_beta 90.00
_cell_angle_gamma 120.00
_symmetry_space_group_name_H-M 'R 3 m'
_symmetry_Int_Tables_number 160
_symmetry_space_group_name_Hall 'R 3 -2"'
loop_
_atom_site_label
_atom_site_fract_x
_atom_site_fract_y
_atom_site_fract_z
_atom_site_occupancy
Ho1 0.0000 0.0000 0.0000 1
Ho2 0.0000 0.0000 0.1248 1
Ho3 0.0000 0.0000 0.6180 1
In1 0.0000 0.0000 0.4938 1
Cu1 0.0000 0.0000 0.3092 1
Cu2 0.0000 0.0000 0.8102 1
Cu3 0.0048 0.5024 0.5601 1
Cu4 0.1669 0.3338 0.3925 1
```


[7]
Theoretical X-ray powder pattern
Compound: AlAg2As
Radiation: Cu Kα X-rays
Structure: a GGA-PBE-relaxed structure
Peak positions follow from Bragg's law for the DFT cell and can differ from measured ones.

Peak list (10 most intense, 2θ from 10° to 80°, most intense first)
37.38°, rel. 100.0; 43.29°, rel. 32.6; 23.84°, rel. 25.3; 75.49°, rel. 23.8; 63.21°, rel. 20.2; 43.72°, rel. 15.8; 76.11°, rel. 11.6; 79.71°, rel. 10.3; 62.88°, rel. 10.3; 39.10°, rel. 6.9

Crystal structure
```
data_AlAg2As
_chemical_formula_sum 'Al2 Ag4 As2'
_cell_length_a 4.1803
_cell_length_b 4.1803
_cell_length_c 8.2819
_cell_angle_alpha 90.00
_cell_angle_beta 90.00
_cell_angle_gamma 90.00
_symmetry_space_group_name_H-M 'I -4 m 2'
_symmetry_Int_Tables_number 119
_symmetry_space_group_name_Hall 'I -4 -2'
loop_
_atom_site_label
_atom_site_fract_x
_atom_site_fract_y
_atom_site_fract_z
_atom_site_occupancy
Al1 0.0000 0.0000 0.0000 1
Ag1 0.0000 0.0000 0.5000 1
Ag2 0.0000 0.5000 0.2500 1
As1 0.0000 0.5000 0.7500 1
```


[8]
Theoretical X-ray powder pattern
Compound: Li9MgAg2
Radiation: Cu Kα X-rays
Structure: a GGA-PBE-relaxed structure
Peak positions follow from Bragg's law for the DFT cell and can differ from measured ones.

Peak list (10 most intense, 2θ from 10° to 80°, most intense first)
19.14°, rel. 100.0; 35.95°, rel. 47.6; 11.02°, rel. 47.4; 38.85°, rel. 25.4; 33.48°, rel. 24.5; 45.66°, rel. 23.8; 61.46°, rel. 18.4; 49.94°, rel. 15.4; 52.20°, rel. 13.3; 30.13°, rel. 10.9

Crystal structure
```
data_Li9MgAg2
_chemical_formula_sum 'Li9 Mg1 Ag2'
_cell_length_a 9.2722
_cell_length_b 9.2722
_cell_length_c 2.9656
_cell_angle_alpha 90.00
_cell_angle_beta 90.00
_cell_angle_gamma 120.00
_symmetry_space_group_name_H-M 'P 6/m m m'
_symmetry_Int_Tables_number 191
_symmetry_space_group_name_Hall '-P 6 2'
loop_
_atom_site_label
_atom_site_fract_x
_atom_site_fract_y
_atom_site_fract_z
_atom_site_occupancy
Li1 0.0000 0.5000 0.0000 1
Li2 0.1784 0.3569 0.5000 1
Mg1 0.0000 0.0000 0.0000 1
Ag1 0.3333 0.6667 0.0000 1
```


[9]
Theoretical X-ray powder pattern
Compound: Li3Mg4Pb2
Radiation: Cu Kα X-rays
Structure: a GGA-PBE-relaxed structure
Peak positions follow from Bragg's law for the DFT cell and can differ from measured ones.

Peak list (10 most intense, 2θ from 10° to 80°, most intense first)
19.93°, rel. 100.0; 23.02°, rel. 69.0; 22.86°, rel. 68.6; 23.17°, rel. 64.5; 24.95°, rel. 48.7; 34.27°, rel. 47.5; 34.38°, rel. 47.1; 39.97°, rel. 47.0; 18.59°, rel. 45.8; 36.13°, rel. 45.3

Crystal structure
```
data_Li3Mg4Pb2
_chemical_formula_sum 'Li3 Mg4 Pb2'
_cell_length_a 4.5124
_cell_length_b 5.4517
_cell_length_c 9.2210
_cell_angle_alpha 103.38
_cell_angle_beta 90.41
_cell_angle_gamma 114.16
_symmetry_space_group_name_H-M 'P -1'
_symmetry_Int_Tables_number 2
loop_
_symmetry_equiv_pos_as_xyz
'x,y,z'
'-x,-y,-z'
loop_
_atom_site_label
_atom_site_fract_x
_atom_site_fract_y
_atom_site_fract_z
_atom_site_occupancy
Li1 0.0000 0.0000 0.0000 1
Li2 0.3284 0.6563 0.4453 1
Mg1 0.0048 0.0096 0.6650 1
Mg2 0.3334 0.6696 0.1110 1
Pb1 0.3347 0.6657 0.7724 1
```


[10]
Theoretical X-ray powder pattern
Compound: Mn4IrRh3
Radiation: Cu Kα X-rays
Structure: a GGA-PBE-relaxed structure
Peak positions follow from Bragg's law for the DFT cell and can differ from measured ones.

Peak list (10 most intense, 2θ from 10° to 80°, most intense first)
42.14°, rel. 100.0; 41.89°, rel. 50.9; 76.68°, rel. 32.3; 29.28°, rel. 19.8; 60.73°, rel. 16.4; 77.20°, rel. 15.9; 29.62°, rel. 9.6; 10.26°, rel. 8.7; 52.14°, rel. 8.6; 61.50°, rel. 7.9

Crystal structure
```
data_Mn4IrRh3
_chemical_formula_sum 'Mn4 Ir1 Rh3'
_cell_length_a 3.0155
_cell_length_b 4.3147
_cell_length_c 8.6238
_cell_angle_alpha 90.00
_cell_angle_beta 90.00
_cell_angle_gamma 90.00
_symmetry_space_group_name_H-M 'P m m m'
_symmetry_Int_Tables_number 47
loop_
_symmetry_equiv_pos_as_xyz
'x,y,z'
'-x,-y,-z'
'-x,-y,z'
'x,y,-z'
'x,-y,-z'
'-x,y,z'
'-x,y,-z'
'x,-y,z'
loop_
_atom_site_label
_atom_site_fract_x
_atom_site_fract_y
_atom_site_fract_z
_atom_site_occupancy
Mn1 0.0000 0.0000 0.0000 1
Mn2 0.0000 0.0000 0.5000 1
Mn3 0.0000 0.5000 0.2504 1
Ir1 0.5000 0.5000 0.0000 1
Rh1 0.5000 0.0000 0.2497 1
Rh2 0.5000 0.5000 0.5000 1
```


[11]
Theoretical X-ray powder pattern
Compound: Sc2TlInRe
Radiation: Cu Kα X-rays
Structure: a GGA-PBE-relaxed structure
Peak positions follow from Bragg's law for the DFT cell and can differ from measured ones.

Peak list (10 most intense, 2θ from 10° to 80°, most intense first)
24.84°, rel. 100.0; 24.36°, rel. 88.2; 35.42°, rel. 84.3; 49.91°, rel. 63.1; 42.57°, rel. 49.8; 34.00°, rel. 47.1; 43.45°, rel. 39.6; 30.15°, rel. 37.3; 62.68°, rel. 31.5; 50.96°, rel. 29.6

Crystal structure
```
data_Sc2TlInRe
_chemical_formula_sum 'Sc2 Tl1 In1 Re1'
_cell_length_a 5.0689
_cell_length_b 5.0689
_cell_length_c 5.2728
_cell_angle_alpha 90.00
_cell_angle_beta 90.00
_cell_angle_gamma 90.00
_symmetry_space_group_name_H-M 'P 4/m m m'
_symmetry_Int_Tables_number 123
_symmetry_space_group_name_Hall '-P 4 2'
loop_
_atom_site_label
_atom_site_fract_x
_atom_site_fract_y
_atom_site_fract_z
_atom_site_occupancy
Sc1 0.0000 0.5000 0.0000 1
Tl1 0.0000 0.0000 0.5000 1
In1 0.5000 0.5000 0.5000 1
Re1 0.5000 0.5000 0.0000 1
```


[12]
Theoretical X-ray powder pattern
Compound: Dy3MgSc
Radiation: Cu Kα X-rays
Structure: a GGA-PBE-relaxed structure
Peak positions follow from Bragg's law for the DFT cell and can differ from measured ones.

Peak list (10 most intense, 2θ from 10° to 80°, most intense first)
32.84°, rel. 100.0; 33.05°, rel. 97.7; 33.33°, rel. 51.8; 32.63°, rel. 48.3; 58.55°, rel. 27.1; 18.04°, rel. 24.4; 47.26°, rel. 23.2; 31.27°, rel. 21.9; 29.83°, rel. 21.5; 30.95°, rel. 21.1

Crystal structure
```
data_Dy3MgSc
_chemical_formula_sum 'Dy12 Mg4 Sc4'
_cell_length_a 6.4292
_cell_length_b 9.4049
_cell_length_c 9.9747
_cell_angle_alpha 80.35
_cell_angle_beta 80.33
_cell_angle_gamma 74.45
_symmetry_space_group_name_H-M 'P -1'
_symmetry_Int_Tables_number 2
loop_
_symmetry_equiv_pos_as_xyz
'x,y,z'
'-x,-y,-z'
loop_
_atom_site_label
_atom_site_fract_x
_atom_site_fract_y
_atom_site_fract_z
_atom_site_occupancy
Dy1 0.0840 0.1504 0.0244 1
Dy2 0.1180 0.2124 0.3720 1
Dy3 0.2077 0.4640 0.0968 1
Dy4 0.2536 0.5432 0.4287 1
Dy5 0.3938 0.7639 0.1283 1
Dy6 0.4129 0.8496 0.4719 1
Mg1 0.1868 0.3499 0.7202 1
Mg2 0.4606 0.9300 0.8222 1
Sc1 0.0538 0.0699 0.6885 1
Sc2 0.3172 0.6316 0.7785 1
```


[13]
Theoretical X-ray powder pattern
Compound: Ac2Tl2PbO2
Radiation: Cu Kα X-rays
Structure: a GGA-PBE-relaxed structure
Peak positions follow from Bragg's law for the DFT cell and can differ from measured ones.

Peak list (10 most intense, 2θ from 10° to 80°, most intense first)
25.95°, rel. 100.0; 35.11°, rel. 46.3; 54.65°, rel. 45.3; 44.45°, rel. 44.8; 28.00°, rel. 41.1; 30.14°, rel. 38.9; 31.14°, rel. 27.8; 44.77°, rel. 23.1; 25.23°, rel. 22.8; 39.70°, rel. 18.5

Crystal structure
```
data_Ac2Tl2PbO2
_chemical_formula_sum 'Ac2 Tl2 Pb1 O2'
_cell_length_a 4.0763
_cell_length_b 4.0763
_cell_length_c 14.8243
_cell_angle_alpha 90.00
_cell_angle_beta 90.00
_cell_angle_gamma 120.00
_symmetry_space_group_name_H-M 'P -3 m 1'
_symmetry_Int_Tables_number 164
_symmetry_space_group_name_Hall '-P 3 2"'
loop_
_atom_site_label
_atom_site_fract_x
_atom_site_fract_y
_atom_site_fract_z
_atom_site_occupancy
Ac1 0.3333 0.6667 0.1107 1
Tl1 0.0000 0.0000 0.2984 1
Pb1 0.0000 0.0000 0.5000 1
O1 0.3333 0.6667 0.9374 1
```